1.
# LiZr2As3O12
Theoretical X-ray diffraction stick pattern, Cu Ka. Input: a crystal structure in the Materials Project, relaxed with PBE.
Neutral-atom scattering factors, no anomalous dispersion.

Structural model:
```
LiZr2As3O12
1.0
4.6672 2.6946 7.5318
-4.6672 2.6946 7.5318
0.0000 -5.3892 7.5318
Li Zr As O
2 4 6 24
Direct
0.0000 0.0000 0.0000
0.5000 0.5000 0.5000
0.1404 0.1404 0.1404
0.3596 0.3596 0.3596
0.6404 0.6404 0.6404
0.8596 0.8596 0.8596
0.0433 0.7500 0.4567
0.2500 0.5433 0.9567
0.4567 0.0433 0.7500
0.5433 0.9567 0.2500
0.7500 0.4567 0.0433
0.9567 0.2500 0.5433
0.0028 0.1851 0.3772
0.0543 0.9179 0.2596
0.0821 0.7404 0.9457
0.1228 0.3149 0.4972
0.1851 0.3772 0.0028
0.2404 0.5821 0.4457
0.2596 0.0543 0.9179
0.3149 0.4972 0.1228
0.3772 0.0028 0.1851
0.4179 0.5543 0.7596
0.4457 0.2404 0.5821
0.4972 0.1228 0.3149
0.5028 0.8772 0.6851
0.5543 0.7596 0.4179
0.5821 0.4457 0.2404
0.6228 0.9972 0.8149
0.6851 0.5028 0.8772
0.7404 0.9457 0.0821
0.7596 0.4179 0.5543
0.8149 0.6228 0.9972
0.8772 0.6851 0.5028
0.9179 0.2596 0.0543
0.9457 0.0821 0.7404
0.9972 0.8149 0.6228
```

Most intense lines, 15° ≤ 2θ ≤ 90°, in order of falling intensity:
d [Å], I (rel.)
3.967, 100
2.692, 52
2.931, 34
4.630, 31
3.287, 30
1.763, 16
3.028, 14
4.667, 14
1.984, 12
2.211, 12

2.
# Li7VAs4
Theoretical X-ray diffraction stick pattern, Cu Ka. Input: a crystal structure in the Materials Project, relaxed with PBE.
Neutral-atom scattering factors, no anomalous dispersion.

Structural model:
```
Li7VAs4
1.0
6.6824 -3.0230 0.0000
6.6824 3.0230 0.0000
-5.3821 0.0000 10.7125
Li V As
14 2 8
Direct
0.0064 0.4755 0.1224
0.0143 0.4852 0.3763
0.2452 0.7548 0.7500
0.2502 0.7489 0.5070
0.2511 0.7498 0.9930
0.4755 0.0064 0.6224
0.4852 0.0143 0.8763
0.5148 0.9857 0.1237
0.5245 0.9936 0.3776
0.7489 0.2502 0.0070
0.7498 0.2511 0.4930
0.7548 0.2452 0.2500
0.9857 0.5148 0.6237
0.9936 0.5245 0.8776
0.2558 0.7442 0.2500
0.7442 0.2558 0.7500
0.0852 0.1489 0.6936
0.1489 0.0852 0.1936
0.3623 0.4044 0.0767
0.4044 0.3623 0.5767
0.5956 0.6377 0.4233
0.6377 0.5956 0.9233
0.8511 0.9148 0.8064
0.9148 0.8511 0.3064
```

Most intense lines, 15° ≤ 2θ ≤ 90°, in order of falling intensity:
d [Å], I (rel.)
3.466, 100
2.126, 38
2.115, 20
1.803, 14
1.808, 13
1.819, 13
5.266, 10
5.357, 9
2.986, 9
2.997, 9

3.
# Lu2Ni12As7
Theoretical X-ray diffraction stick pattern, Cu Ka. Input: a crystal structure in the Materials Project, relaxed with PBE.
Neutral-atom scattering factors, no anomalous dispersion.

Structural model:
```
Lu2Ni12As7
1.0
9.3640 0.0000 0.0000
-4.6820 8.1094 0.0000
0.0000 0.0000 3.7773
Lu Ni As
2 12 7
Direct
0.0000 0.0000 0.0000
0.3333 0.6667 0.5000
0.0456 0.7617 0.5000
0.1064 0.3914 0.0000
0.2383 0.2840 0.5000
0.2850 0.8936 0.0000
0.3865 0.2064 0.0000
0.5488 0.1196 0.5000
0.5708 0.4512 0.5000
0.6086 0.7150 0.0000
0.7160 0.9544 0.5000
0.7936 0.1801 0.0000
0.8199 0.6135 0.0000
0.8804 0.4292 0.5000
0.0727 0.6191 0.0000
0.2564 0.0367 0.5000
0.3809 0.4535 0.0000
0.5465 0.9273 0.0000
0.6667 0.3333 0.0000
0.7803 0.7436 0.5000
0.9633 0.2197 0.5000
```

Most intense lines, 15° ≤ 2θ ≤ 90°, in order of falling intensity:
d [Å], I (rel.)
2.380, 100
1.770, 25
1.889, 23
1.933, 18
1.291, 17
1.669, 16
2.764, 16
2.703, 12
1.165, 10
2.027, 10

4.
# Lu5Zr3Ni16As12
Theoretical X-ray diffraction stick pattern, Cu Ka. Input: a crystal structure in the Materials Project, relaxed with PBE.
Neutral-atom scattering factors, no anomalous dispersion.

Structural model:
```
Lu5Zr3Ni16As12
1.0
12.7306 0.0000 0.0000
-6.3653 11.0250 0.0000
0.0000 0.0000 3.8830
Lu Zr Ni As
5 3 16 12
Direct
0.0000 0.1810 0.0000
0.1810 0.0000 0.0000
0.3333 0.6667 0.5000
0.6667 0.3333 0.5000
0.8190 0.8190 0.0000
0.0000 0.5624 0.5000
0.4376 0.4376 0.5000
0.5624 0.0000 0.5000
0.0000 0.0000 0.5000
0.0000 0.7232 0.0000
0.1221 0.4820 0.0000
0.1819 0.8089 0.5000
0.1911 0.3730 0.5000
0.2768 0.2768 0.0000
0.3600 0.8779 0.0000
0.3730 0.1911 0.5000
0.4820 0.1221 0.0000
0.5180 0.6400 0.0000
0.6270 0.8181 0.5000
0.6400 0.5180 0.0000
0.7232 0.0000 0.0000
0.8089 0.1819 0.5000
0.8181 0.6270 0.5000
0.8779 0.3600 0.0000
0.0000 0.3539 0.5000
0.0000 0.8234 0.5000
0.1732 0.6917 0.0000
0.1766 0.1766 0.5000
0.3083 0.4815 0.0000
0.3539 0.0000 0.5000
0.4815 0.3083 0.0000
0.5185 0.8268 0.0000
0.6461 0.6461 0.5000
0.6917 0.1732 0.0000
0.8234 0.0000 0.5000
0.8268 0.5185 0.0000
```

Most intense lines, 15° ≤ 2θ ≤ 90°, in order of falling intensity:
d [Å], I (rel.)
2.461, 100
2.403, 76
1.837, 35
1.942, 34
2.669, 28
1.335, 23
1.642, 17
1.273, 13
3.058, 13
1.980, 11

5.
# LuAsO4
Theoretical X-ray diffraction stick pattern, Cu Ka. Input: a crystal structure in the Materials Project, relaxed with PBE.
Neutral-atom scattering factors, no anomalous dispersion.

Structural model:
```
LuAsO4
1.0
-3.5070 3.5070 3.1390
3.5070 -3.5070 3.1390
3.5070 3.5070 -3.1390
Lu As O
2 2 8
Direct
0.3750 0.6250 0.7500
0.6250 0.3750 0.2500
0.1250 0.8750 0.2500
0.8750 0.1250 0.7500
0.1271 0.6936 0.4334
0.2398 0.3064 0.9334
0.3064 0.2398 0.4334
0.3064 0.8729 0.0666
0.6936 0.1271 0.9334
0.6936 0.7602 0.5666
0.7602 0.6936 0.0666
0.8729 0.3064 0.5666
```

Most intense lines, 15° ≤ 2θ ≤ 90°, in order of falling intensity:
d [Å], I (rel.)
3.507, 100
2.652, 75
1.811, 61
4.678, 25
2.480, 24
1.569, 19
1.109, 18
1.463, 18
1.753, 15
1.260, 15

6.
# LuAsPt
Theoretical X-ray diffraction stick pattern, Cu Ka. Input: a crystal structure in the Materials Project, relaxed with PBE.
Neutral-atom scattering factors, no anomalous dispersion.

Structural model:
```
LuAsPt
1.0
4.2425 0.0000 0.0000
-2.1213 3.6742 0.0000
0.0000 0.0000 15.2876
Lu As Pt
4 4 4
Direct
0.0000 0.0000 0.0000
0.0000 0.0000 0.2500
0.0000 0.0000 0.5000
0.0000 0.0000 0.7500
0.3333 0.6667 0.1136
0.3333 0.6667 0.3864
0.6667 0.3333 0.6136
0.6667 0.3333 0.8864
0.3333 0.6667 0.6365
0.3333 0.6667 0.8635
0.6667 0.3333 0.1365
0.6667 0.3333 0.3635
```

Most intense lines, 15° ≤ 2θ ≤ 90°, in order of falling intensity:
d [Å], I (rel.)
2.649, 100
2.121, 57
1.420, 26
1.656, 25
1.305, 22
3.572, 16
2.350, 12
1.911, 11
1.225, 10
1.204, 6

7.
# LuAsSe
Theoretical X-ray diffraction stick pattern, Cu Ka. Input: a crystal structure in the Materials Project, relaxed with PBE.
Neutral-atom scattering factors, no anomalous dispersion.

Structural model:
```
LuAsSe
1.0
17.2452 0.0000 0.0000
0.0000 3.8611 0.0000
0.0000 0.0000 3.8670
Lu As Se
4 4 4
Direct
0.1389 0.2500 0.2408
0.3611 0.7500 0.7408
0.6389 0.2500 0.2592
0.8611 0.7500 0.7592
0.0008 0.2500 0.7304
0.4992 0.7500 0.2304
0.5008 0.2500 0.7696
0.9992 0.7500 0.2696
0.1880 0.7500 0.7421
0.3120 0.2500 0.2421
0.6880 0.7500 0.7579
0.8120 0.2500 0.2579
```

Most intense lines, 15° ≤ 2θ ≤ 90°, in order of falling intensity:
d [Å], I (rel.)
2.307, 100
3.526, 40
2.605, 38
1.932, 32
2.732, 25
2.874, 23
1.481, 21
1.603, 16
1.105, 11
1.694, 11

8.
# Mg3As2
Theoretical X-ray diffraction stick pattern, Cu Ka. Input: a crystal structure in the Materials Project, relaxed with PBE.
Neutral-atom scattering factors, no anomalous dispersion.

Structural model:
```
Mg3As2
1.0
-6.2379 6.2379 6.2379
6.2379 -6.2379 6.2379
6.2379 6.2379 -6.2379
Mg As
24 16
Direct
0.0067 0.4761 0.7411
0.0239 0.0306 0.2650
0.0306 0.2650 0.0239
0.2344 0.4694 0.4933
0.2350 0.2656 0.7589
0.2411 0.7650 0.7344
0.2589 0.9933 0.5239
0.2650 0.0239 0.0306
0.2656 0.7589 0.2350
0.4694 0.4933 0.2344
0.4761 0.7411 0.0067
0.4933 0.2344 0.4694
0.5067 0.7656 0.5306
0.5239 0.2589 0.9933
0.5306 0.5067 0.7656
0.7344 0.2411 0.7650
0.7350 0.9761 0.9694
0.7411 0.0067 0.4761
0.7589 0.2350 0.2656
0.7650 0.7344 0.2411
0.7656 0.5306 0.5067
0.9694 0.7350 0.9761
0.9761 0.9694 0.7350
0.9933 0.5239 0.2589
0.0000 0.0000 0.0000
0.0000 0.5000 0.5000
0.0218 0.7718 0.2500
0.2282 0.7500 0.9782
0.2500 0.0218 0.7718
0.2500 0.5218 0.2718
0.2718 0.2500 0.5218
0.4782 0.7282 0.7500
0.5000 0.0000 0.5000
0.5000 0.5000 0.0000
0.5218 0.2718 0.2500
0.7282 0.7500 0.4782
0.7500 0.4782 0.7282
0.7500 0.9782 0.2282
0.7718 0.2500 0.0218
0.9782 0.2282 0.7500
```

Most intense lines, 15° ≤ 2θ ≤ 90°, in order of falling intensity:
d [Å], I (rel.)
3.601, 100
2.205, 77
1.881, 40
1.273, 17
1.431, 14
3.119, 13
1.559, 11
5.093, 10
1.200, 9
2.660, 8

9.
# MgAs4
Theoretical X-ray diffraction stick pattern, Cu Ka. Input: a crystal structure in the Materials Project, relaxed with PBE.
Neutral-atom scattering factors, no anomalous dispersion.

Structural model:
```
MgAs4
1.0
5.4740 0.0000 0.0000
0.0000 5.4740 0.0000
0.0000 0.0000 16.0998
Mg As
4 16
Direct
0.1969 0.1969 0.0000
0.3031 0.6969 0.2500
0.6969 0.3031 0.7500
0.8031 0.8031 0.5000
0.0239 0.9006 0.1250
0.0670 0.6756 0.7972
0.0994 0.9761 0.3750
0.1756 0.4330 0.5472
0.3244 0.9330 0.7028
0.4006 0.4761 0.8750
0.4330 0.1756 0.4528
0.4761 0.4006 0.1250
0.5239 0.5994 0.6250
0.5670 0.8244 0.9528
0.5994 0.5239 0.3750
0.6756 0.0670 0.2028
0.8244 0.5670 0.0472
0.9006 0.0239 0.8750
0.9330 0.3244 0.2972
0.9761 0.0994 0.6250
```

Most intense lines, 15° ≤ 2θ ≤ 90°, in order of falling intensity:
d [Å], I (rel.)
3.139, 100
2.790, 58
3.243, 40
2.085, 34
2.420, 33
1.922, 30
5.183, 28
3.488, 25
1.786, 22
2.263, 21

10.
# Mg3As2
Theoretical X-ray diffraction stick pattern, Cu Ka. Input: a crystal structure in the Materials Project, relaxed with PBE.
Neutral-atom scattering factors, no anomalous dispersion.

Structural model:
```
Mg3As2
1.0
4.3005 0.0000 0.0000
-2.1502 3.7243 0.0000
0.0000 0.0000 6.7698
Mg As
3 2
Direct
0.0000 0.0000 0.0000
0.3333 0.6667 0.6413
0.6667 0.3333 0.3587
0.3333 0.6667 0.2304
0.6667 0.3333 0.7696
```

Most intense lines, 15° ≤ 2θ ≤ 90°, in order of falling intensity:
d [Å], I (rel.)
3.263, 100
2.150, 77
2.505, 77
1.930, 46
3.724, 39
3.385, 31
1.815, 31
1.632, 20
1.194, 19
1.300, 18